No. 1
# MoN2
Calculated powder diffractogram, copper Kα. Input: a PBE-relaxed structure.
Lines closer than 0.1° are merged.

Structural model:
```
data_MoN2
_symmetry_space_group_name_H-M 'C 1 2/m 1'
_symmetry_Int_Tables_number 12
_cell_length_a 10.7294
_cell_length_b 3.7380
_cell_length_c 4.1853
_cell_angle_alpha 90.00
_cell_angle_beta 112.27
_cell_angle_gamma 90.00
loop_
_symmetry_equiv_pos_as_xyz
'x,y,z'
'-x,-y,-z'
'-x,y,-z'
'x,-y,z'
'x+1/2,y+1/2,z'
'-x+1/2,-y+1/2,-z'
'-x+1/2,y+1/2,-z'
'x+1/2,-y+1/2,z'
loop_
_atom_site_label
_atom_site_type_symbol
_atom_site_fract_x
_atom_site_fract_y
_atom_site_fract_z
Mo1 Mo 0.1168 0.0000 0.3078
N1 N 0.0850 0.0000 0.8449
N2 N 0.1666 0.5000 0.4435
```

Most intense lines, 10 to 80 degrees two-theta, sorted by position:
Position (°2θ), I_rel
23.16, 885
25.46, 1000
34.34, 231
36.20, 516
36.85, 257
37.11, 299
48.72, 197
50.74, 259
52.15, 218
57.96, 186

=====

No. 2
# MoN
Calculated powder diffractogram, copper Kα. Input: a PBE-relaxed structure.
Lines closer than 0.1° are merged.

Structural model:
```
data_MoN
_symmetry_space_group_name_H-M 'F m -3 m'
_symmetry_Int_Tables_number 225
_symmetry_space_group_name_Hall '-F 4 2 3'
_cell_length_a 4.3569
_cell_length_b 4.3569
_cell_length_c 4.3569
_cell_angle_alpha 90.00
_cell_angle_beta 90.00
_cell_angle_gamma 90.00
loop_
_atom_site_label
_atom_site_type_symbol
_atom_site_fract_x
_atom_site_fract_y
_atom_site_fract_z
Mo1 Mo 0.0000 0.0000 0.0000
N1 N 0.0000 0.0000 0.5000
```

Most intense lines, 10 to 80 degrees two-theta, sorted by position:
Position (°2θ), I_rel
35.69, 1000
41.45, 837
60.06, 519
71.87, 403
75.61, 173

=====

No. 3
# NbMoN3
Calculated powder diffractogram, copper Kα. Input: a PBE-relaxed structure.
Lines closer than 0.1° are merged.

Structural model:
```
data_NbMoN3
_symmetry_space_group_name_H-M 'P -1'
_symmetry_Int_Tables_number 2
_cell_length_a 5.3994
_cell_length_b 5.8452
_cell_length_c 8.3377
_cell_angle_alpha 71.11
_cell_angle_beta 71.96
_cell_angle_gamma 82.01
loop_
_symmetry_equiv_pos_as_xyz
'x,y,z'
'-x,-y,-z'
loop_
_atom_site_label
_atom_site_type_symbol
_atom_site_fract_x
_atom_site_fract_y
_atom_site_fract_z
Nb1 Nb 0.0235 0.3001 0.4193
Nb2 Nb 0.4567 0.1124 0.6483
Mo1 Mo 0.2533 0.0169 0.0766
Mo2 Mo 0.3881 0.6110 0.8686
N1 N 0.1238 0.8358 0.9577
N2 N 0.1581 0.9599 0.3478
N3 N 0.1834 0.3931 0.5812
N4 N 0.2523 0.3762 0.1348
N5 N 0.3678 0.7872 0.6211
N6 N 0.4452 0.2591 0.8500
```

Most intense lines, 10 to 80 degrees two-theta, sorted by position:
Position (°2θ), I_rel
23.53, 345
30.18, 871
30.97, 1000
33.34, 897
33.58, 973
33.91, 622
34.05, 645
43.66, 367
48.09, 394
49.52, 420

=====

No. 4
# Ni2Mo4N
Calculated powder diffractogram, copper Kα. Input: a PBE-relaxed structure.
Lines closer than 0.1° are merged.

Structural model:
Unit cell a=11.2735 b=11.2735 c=11.2735 alpha=90.00 beta=90.00 gamma=90.00
Space group Fd-3m (No. 227, origin choice 2)
Asymmetric unit:
1 Ni 0.0403 0.0403 0.2097 x32
2 Mo 0.0000 0.0000 0.0000 x16
3 Mo 0.0697 0.3750 0.8750 x48
4 N 0.0000 0.0000 0.5000 x16

Most intense lines, 10 to 80 degrees two-theta, sorted by position:
Position (°2θ), I_rel
34.68, 200
39.15, 378
41.63, 1000
45.52, 426
48.45, 60
53.95, 70
63.37, 75
68.08, 81
70.94, 327
72.63, 101

=====

No. 5
# Ni3Mo3N
Calculated powder diffractogram, copper Kα. Input: a PBE-relaxed structure.
Lines closer than 0.1° are merged.

Structural model:
Unit cell a=11.0358 b=11.0358 c=11.0358 alpha=90.00 beta=90.00 gamma=90.00
Space group Fd-3m (No. 227, origin choice 2)
Asymmetric unit:
1 Ni 0.0000 0.0000 0.0000 x16
2 Ni 0.0400 0.0400 0.2100 x32
3 Mo 0.0799 0.3750 0.8750 x48
4 N 0.0000 0.0000 0.5000 x16

Most intense lines, 10 to 80 degrees two-theta, sorted by position:
Position (°2θ), I_rel
32.45, 72
35.46, 117
40.02, 401
42.57, 1000
46.55, 570
49.56, 71
64.90, 131
69.75, 79
72.70, 299
74.45, 97

=====

No. 6
# NiMoN3
Calculated powder diffractogram, copper Kα. Input: a PBE-relaxed structure.
Lines closer than 0.1° are merged.

Structural model:
```
data_NiMoN3
_symmetry_space_group_name_H-M 'P -1'
_symmetry_Int_Tables_number 2
_cell_length_a 5.7369
_cell_length_b 7.6328
_cell_length_c 8.8879
_cell_angle_alpha 98.83
_cell_angle_beta 100.30
_cell_angle_gamma 98.49
loop_
_symmetry_equiv_pos_as_xyz
'x,y,z'
'-x,-y,-z'
loop_
_atom_site_label
_atom_site_type_symbol
_atom_site_fract_x
_atom_site_fract_y
_atom_site_fract_z
Ni1 Ni 0.9996 0.0487 0.1934
Ni2 Ni 0.2381 0.2568 0.0262
Mo1 Mo 0.1176 0.3256 0.4127
Mo2 Mo 0.2943 0.3688 0.7430
N1 N 0.0566 0.4694 0.6455
N2 N 0.1041 0.8696 0.6225
N3 N 0.1518 0.1725 0.8204
N4 N 0.2126 0.2626 0.2206
N5 N 0.3964 0.2811 0.5733
N6 N 0.4643 0.4691 0.0556
```

Most intense lines, 10 to 80 degrees two-theta, sorted by position:
Position (°2θ), I_rel
11.93, 150
15.96, 269
17.14, 198
18.15, 1000
21.47, 342
21.65, 206
26.38, 135
35.62, 141
35.89, 165
46.81, 121

=====

No. 7
# Mo2Pb3N4
Calculated powder diffractogram, copper Kα. Input: a PBE-relaxed structure.
Lines closer than 0.1° are merged.

Structural model:
```
data_Mo2Pb3N4
_symmetry_space_group_name_H-M 'P n n a'
_symmetry_Int_Tables_number 52
_cell_length_a 5.9842
_cell_length_b 10.7480
_cell_length_c 10.8173
_cell_angle_alpha 90.00
_cell_angle_beta 90.00
_cell_angle_gamma 90.00
loop_
_symmetry_equiv_pos_as_xyz
'x,y,z'
'-x,-y,-z'
'-x+1/2,-y,z'
'x+1/2,y,-z'
'x,-y+1/2,-z+1/2'
'-x,y+1/2,z+1/2'
'-x+1/2,y+1/2,-z+1/2'
'x+1/2,-y+1/2,z+1/2'
loop_
_atom_site_label
_atom_site_type_symbol
_atom_site_fract_x
_atom_site_fract_y
_atom_site_fract_z
Mo1 Mo 0.1196 0.2500 0.2500
Mo2 Mo 0.2500 0.0000 0.2233
Pb1 Pb 0.1780 0.1711 0.6095
Pb2 Pb 0.2500 0.0000 0.9290
N1 N 0.0318 0.0829 0.3246
N2 N 0.1844 0.6627 0.3591
```

Most intense lines, 10 to 80 degrees two-theta, sorted by position:
Position (°2θ), I_rel
26.20, 709
28.91, 1000
29.86, 306
30.11, 193
31.03, 257
33.53, 815
35.32, 178
40.14, 285
44.63, 219
59.67, 170

=====

No. 8
# Mo3Pd2N
Calculated powder diffractogram, copper Kα. Input: a PBE-relaxed structure.
Lines closer than 0.1° are merged.

Structural model:
```
data_Mo3Pd2N
_symmetry_space_group_name_H-M 'P 41 3 2'
_symmetry_Int_Tables_number 213
_symmetry_space_group_name_Hall 'P 4bd 2ab 3'
_cell_length_a 6.8782
_cell_length_b 6.8782
_cell_length_c 6.8782
_cell_angle_alpha 90.00
_cell_angle_beta 90.00
_cell_angle_gamma 90.00
loop_
_atom_site_label
_atom_site_type_symbol
_atom_site_fract_x
_atom_site_fract_y
_atom_site_fract_z
Mo1 Mo 0.0474 0.1250 0.7974
Pd1 Pd 0.0607 0.9393 0.4393
N1 N 0.1250 0.3750 0.6250
```

Most intense lines, 10 to 80 degrees two-theta, sorted by position:
Position (°2θ), I_rel
39.30, 1000
41.52, 534
43.64, 300
49.59, 110
56.79, 66
60.16, 52
69.71, 288
71.24, 41
74.25, 229
75.74, 56

=====

No. 9
# Mo3PdPtN
Calculated powder diffractogram, copper Kα. Input: a PBE-relaxed structure.
Lines closer than 0.1° are merged.

Structural model:
```
data_Mo3PdPtN
_symmetry_space_group_name_H-M 'P 21 3'
_symmetry_Int_Tables_number 198
_symmetry_space_group_name_Hall 'P 2ac 2ab 3'
_cell_length_a 6.8879
_cell_length_b 6.8879
_cell_length_c 6.8879
_cell_angle_alpha 90.00
_cell_angle_beta 90.00
_cell_angle_gamma 90.00
loop_
_atom_site_label
_atom_site_type_symbol
_atom_site_fract_x
_atom_site_fract_y
_atom_site_fract_z
Mo1 Mo 0.0479 0.1244 0.8002
Pd1 Pd 0.1912 0.1912 0.1912
Pt1 Pt 0.0592 0.9408 0.4408
N1 N 0.1242 0.3758 0.6242
```

Most intense lines, 10 to 80 degrees two-theta, sorted by position:
Position (°2θ), I_rel
18.21, 85
22.36, 113
36.91, 67
39.24, 1000
41.46, 538
43.58, 342
49.52, 184
69.60, 341
74.13, 255
75.62, 80

=====

No. 10
# Mo3Pt2N
Calculated powder diffractogram, copper Kα. Input: a PBE-relaxed structure.
Lines closer than 0.1° are merged.

Structural model:
```
data_Mo3Pt2N
_symmetry_space_group_name_H-M 'P 41 3 2'
_symmetry_Int_Tables_number 213
_symmetry_space_group_name_Hall 'P 4bd 2ab 3'
_cell_length_a 6.9021
_cell_length_b 6.9021
_cell_length_c 6.9021
_cell_angle_alpha 90.00
_cell_angle_beta 90.00
_cell_angle_gamma 90.00
loop_
_atom_site_label
_atom_site_type_symbol
_atom_site_fract_x
_atom_site_fract_y
_atom_site_fract_z
Mo1 Mo 0.0492 0.1250 0.7992
Pt1 Pt 0.0572 0.9428 0.4428
N1 N 0.1250 0.3750 0.6250
```

Most intense lines, 10 to 80 degrees two-theta, sorted by position:
Position (°2θ), I_rel
18.18, 156
22.31, 176
36.83, 128
39.15, 1000
41.37, 510
43.49, 378
49.41, 225
69.43, 369
73.95, 281
75.44, 92